No. 1
# HoScS2Cl2
Simulated XRD peak list, Cu Kα, 1.54184 Å. Input: a GGA-PBE-relaxed structure.
Intensities are scaled so that the largest is 100.

Cell and atoms:
```
6
Lattice="3.828 0.000 0.000 0.000 5.224 0.000 0.000 0.000 8.177" Properties=species:S:1:pos:R:3 pbc="T T T"
Ho 0.000 0.000 0.000
Sc 1.914 2.612 2.221
S 0.000 2.612 0.462
S 1.914 0.000 1.926
Cl 0.000 2.612 3.881
Cl 1.914 0.000 6.368
```

Largest 10 diffraction maxima, in order of rising 2θ, 2θ from 10° to 80°:
2θ = 10.8°, I 100, hkl 0 0 1; 2θ = 17.0°, I 16, hkl 0 1 0; 2θ = 20.2°, I 63, hkl 0 1 1; 2θ = 25.7°, I 22, hkl 1 0 1; 2θ = 31.0°, I 27, hkl 1 1 1; 2θ = 32.0°, I 58, hkl 1 0 2; 2θ = 34.3°, I 26, hkl 0 2 0; 2θ = 36.5°, I 12, hkl 1 1 2; 2θ = 44.3°, I 32, hkl 0 0 4; 2θ = 47.7°, I 36, hkl 1 2 2

---

No. 2
# SmHoSbCl2
Simulated XRD peak list, Cu Kα, 1.54184 Å. Input: a GGA-PBE-relaxed structure.
Intensities are scaled so that the largest is 100.

Cell and atoms:
```
5
Lattice="4.198 0.000 0.000 -2.099 3.636 0.000 0.000 0.000 10.595" Properties=species:S:1:pos:R:3 pbc="T T T"
Sm 0.000 0.000 0.000
Ho 0.000 2.424 3.578
Sb 2.099 1.212 1.850
Cl 0.000 0.000 5.078
Cl 0.000 2.424 9.015
```

Largest 10 diffraction maxima, in order of rising 2θ, 2θ from 10° to 80°:
2θ = 25.9°, I 38, hkl 1 0 1; 2θ = 29.8°, I 100, hkl 1 0 2; 2θ = 35.4°, I 29, hkl 1 0 3; 2θ = 42.2°, I 39, hkl 0 1 4; 2θ = 43.1°, I 36, hkl 1 1 0; 2θ = 44.0°, I 16, hkl 1 1 1; 2θ = 53.3°, I 19, hkl 0 2 2; 2θ = 69.6°, I 16, hkl 1 1 6; 2θ = 70.8°, I 16, hkl 2 1 2; 2θ = 78.4°, I 12, hkl 1 2 4

---

No. 3
# HoScCl6
Simulated XRD peak list, Cu Kα, 1.54184 Å. Input: a GGA-PBE-relaxed structure.
Intensities are scaled so that the largest is 100.

Cell and atoms:
```
16
Lattice="6.597 0.000 0.000 0.000 11.464 0.000 -2.209 0.000 6.084" Properties=species:S:1:pos:R:3 pbc="T T T"
Ho 0.000 0.000 0.000
Ho 3.299 5.732 0.000
Sc 0.000 3.806 0.000
Sc 3.299 9.538 0.000
Cl 0.936 1.988 1.450
Cl -0.160 3.908 4.655
Cl 1.104 5.539 1.439
Cl -0.015 11.271 4.646
Cl 1.250 9.640 1.429
Cl 0.153 7.720 4.635
Cl 4.235 7.720 1.450
Cl 3.138 9.640 4.655
Cl 4.403 11.271 1.439
Cl 3.283 5.539 4.646
Cl 4.548 3.908 1.429
Cl 3.451 1.988 4.635
```

Largest 10 diffraction maxima, in order of rising 2θ, 2θ from 10° to 80°:
2θ = 14.6°, I 77, hkl 0 0 1; 2θ = 15.5°, I 29, hkl 0 2 0; 2θ = 16.3°, I 52, hkl 1 1 0; 2θ = 18.3°, I 38, hkl 1 1 -1; 2θ = 21.3°, I 25, hkl 0 2 1; 2θ = 25.0°, I 17, hkl 1 1 1; 2θ = 27.4°, I 40, hkl 2 0 -1; 2θ = 33.5°, I 100, hkl 1 3 1; 2θ = 47.7°, I 22, hkl 3 3 -1; 2θ = 48.5°, I 21, hkl 1 3 -3

---

No. 4
# HoTmSiCl2
Simulated XRD peak list, Cu Kα, 1.54184 Å. Input: a GGA-PBE-relaxed structure.
Intensities are scaled so that the largest is 100.

Cell and atoms:
```
5
Lattice="4.002 0.000 0.000 -2.001 3.465 0.000 0.000 0.000 9.600" Properties=species:S:1:pos:R:3 pbc="T T T"
Ho 0.000 0.000 0.000
Tm 0.000 2.310 6.397
Si 2.001 1.155 7.985
Cl 0.000 0.000 4.844
Cl 0.000 2.310 1.581
```

Largest 10 diffraction maxima, in order of rising 2θ, 2θ from 10° to 80°:
2θ = 18.5°, I 18, hkl 0 0 2; 2θ = 25.7°, I 24, hkl 1 0 0; 2θ = 27.4°, I 52, hkl 1 0 1; 2θ = 31.9°, I 100, hkl 0 1 2; 2θ = 38.3°, I 14, hkl 0 1 3; 2θ = 45.3°, I 32, hkl 1 1 0; 2θ = 46.0°, I 36, hkl 1 0 4; 2θ = 56.5°, I 19, hkl 2 0 2; 2θ = 75.2°, I 16, hkl 1 2 2; 2θ = 76.2°, I 14, hkl 1 1 6

---

No. 5
# TbHoCl6
Simulated XRD peak list, Cu Kα, 1.54184 Å. Input: a GGA-PBE-relaxed structure.
Intensities are scaled so that the largest is 100.

Cell and atoms:
```
16
Lattice="6.853 0.000 0.000 0.000 11.904 0.000 -2.304 0.000 6.022" Properties=species:S:1:pos:R:3 pbc="T T T"
Tb 0.000 0.000 0.000
Tb 3.426 5.952 0.000
Ho 0.000 7.962 0.000
Ho 3.426 2.010 0.000
Cl 0.964 9.915 1.477
Cl -0.110 7.815 4.570
Cl -0.081 0.167 4.567
Cl 1.203 6.119 1.454
Cl 1.233 1.863 1.451
Cl 0.158 3.963 4.545
Cl 4.391 3.963 1.477
Cl 3.316 1.863 4.570
Cl 3.346 6.119 4.567
Cl 4.630 0.167 1.454
Cl 4.659 7.815 1.451
Cl 3.584 9.915 4.545
```

Largest 10 diffraction maxima, in order of rising 2θ, 2θ from 10° to 80°:
2θ = 14.7°, I 89, hkl 0 0 1; 2θ = 14.9°, I 25, hkl 0 2 0; 2θ = 15.7°, I 45, hkl 1 1 0; 2θ = 17.9°, I 31, hkl 1 1 -1; 2θ = 26.4°, I 62, hkl 2 0 -1; 2θ = 32.8°, I 100, hkl 1 3 1; 2θ = 43.9°, I 19, hkl 1 3 2; 2θ = 45.8°, I 24, hkl 3 3 -1; 2θ = 48.2°, I 21, hkl 1 3 -3; 2θ = 48.3°, I 28, hkl 2 0 2

---

No. 6
# K2PdI3Cl
Simulated XRD peak list, Cu Kα, 1.54184 Å. Input: a GGA-PBE-relaxed structure.
Intensities are scaled so that the largest is 100.

Cell and atoms:
```
14
Lattice="4.560 0.000 0.000 0.000 10.519 0.000 0.000 0.000 11.574" Properties=species:S:1:pos:R:3 pbc="T T T"
K 0.000 2.353 0.000
K 0.000 2.906 5.787
K 0.000 7.613 5.787
K 0.000 8.166 0.000
Pd 2.280 0.000 8.728
Pd 2.280 5.259 2.941
I 2.280 0.000 6.119
I 2.280 2.619 2.920
I 2.280 2.641 8.707
I 2.280 5.259 0.332
I 2.280 7.878 8.707
I 2.280 7.900 2.920
Cl 2.280 0.000 11.138
Cl 2.280 5.259 5.351
```

Largest 10 diffraction maxima, in order of rising 2θ, 2θ from 10° to 80°:
2θ = 11.4°, I 83, hkl 0 1 1; 2θ = 19.5°, I 100, hkl 1 0 0; 2θ = 22.6°, I 42, hkl 1 1 1; 2θ = 22.8°, I 33, hkl 0 2 2; 2θ = 24.9°, I 49, hkl 1 0 2; 2θ = 30.2°, I 96, hkl 1 2 2; 2θ = 30.9°, I 52, hkl 0 0 4; 2θ = 34.1°, I 43, hkl 0 4 0; 2θ = 39.5°, I 64, hkl 2 0 0; 2θ = 51.0°, I 52, hkl 2 0 4